# Ba2AcPuS5
Theoretical powder XRD pattern, λ = 1.5418 Å (Cu Kα). Input: a structure optimized by DFT (PBE).
Intensities are scaled so that the largest is 100.

Top 6 peaks for 10° ≤ 2θ ≤ 90°, low angle first:
d (Å), intensity
3.747, 100
3.561, 77
2.518, 42
2.203, 26
2.090, 44
1.873, 23

Structure:
abc: 5.036 5.036 11.214
angles: 90.00 90.00 90.00
Atoms (fractional coordinates):
Ba 0.000 0.000 0.203
Ba 0.000 0.000 0.797
Ac 0.500 0.500 0.500
Pu 0.500 0.500 0.000
S 0.000 0.000 0.500
S 0.000 0.500 0.000
S 0.500 0.000 0.000
S 0.500 0.500 0.249
S 0.500 0.500 0.751